Record 1
This entry pairs a crystal structure of Nb2Ru with its simulated powder diffraction line list. Radiation: Cu Kα. Structure: a structure optimized by DFT (PBE).

Structure:
```
Nb2Ru
1.0
0.0000 2.3297 6.6222
1.6438 0.0000 6.6222
1.6438 2.3297 0.0000
Nb Ru
2 1
direct
0.1604 0.1604 0.8396
0.8396 0.8396 0.1604
0.5000 0.5000 0.5000
```

Most intense lines, 10 to 80 degrees two-theta, in order of falling intensity:
2θ 39.26, I = 100; 2θ 38.65, I = 26; 2θ 40.88, I = 22; 2θ 70.35, I = 17; 2θ 57.52, I = 16; 2θ 73.36, I = 14; 2θ 55.94, I = 9; 2θ 70.06, I = 9; 2θ 71.57, I = 8; 2θ 13.37, I = 2

Record 2
This entry pairs a crystal structure of NaSr3NdTi5O15 with its simulated powder diffraction line list. Radiation: Cu Kα. Structure: a structure optimized by DFT (PBE).

Structure:
```
NaSr3NdTi5O15
1.0
-2.7576 2.7576 19.7801
2.7576 -2.7576 19.7801
2.7576 2.7576 -19.7801
Na Sr Nd Ti O
2 6 2 10 30
direct
0.2006 0.2006 0.0000
0.7994 0.7994 0.0000
0.0000 0.0000 0.0000
0.1008 0.1008 0.0000
0.3994 0.3994 0.0000
0.5000 0.5000 0.0000
0.6006 0.6006 0.0000
0.8992 0.8992 0.0000
0.2994 0.2994 0.0000
0.7006 0.7006 0.0000
0.0504 0.5504 0.5000
0.1514 0.6514 0.5000
0.2500 0.7500 0.5000
0.3486 0.8486 0.5000
0.4496 0.9496 0.5000
0.5504 0.0504 0.5000
0.6514 0.1514 0.5000
0.7500 0.2500 0.5000
0.8486 0.3486 0.5000
0.9496 0.4496 0.5000
0.0000 0.5000 0.5000
0.0502 0.4534 0.0000
0.0707 0.6278 0.0000
0.1008 0.6008 0.5000
0.1376 0.1376 0.5801
0.1762 0.1762 0.4538
0.2006 0.7006 0.5000
0.2231 0.6763 0.0000
0.2775 0.8238 0.0000
0.2994 0.7994 0.5000
0.3237 0.3237 0.5468
0.3722 0.3722 0.4429
0.3992 0.8992 0.5000
0.4425 0.8624 0.0000
0.4534 0.0502 0.0000
0.5000 0.0000 0.5000
0.5466 0.5466 0.5968
0.5575 0.5575 0.4199
0.6008 0.1008 0.5000
0.6278 0.0707 0.0000
0.6763 0.2231 0.0000
0.7006 0.2006 0.5000
0.7225 0.7225 0.5463
0.7769 0.7769 0.4532
0.7994 0.2994 0.5000
0.8238 0.2775 0.0000
0.8624 0.4425 0.0000
0.8992 0.3992 0.5000
0.9293 0.9293 0.5571
0.9498 0.9498 0.4032
```

Most intense lines, 10 to 80 degrees two-theta, in order of falling intensity:
2θ 32.23, I = 100; 2θ 32.47, I = 53; 2θ 57.77, I = 40; 2θ 46.58, I = 40; 2θ 39.85, I = 33; 2θ 67.44, I = 23; 2θ 45.88, I = 22; 2θ 57.32, I = 20; 2θ 19.62, I = 15; 2θ 17.43, I = 13